Entry 1:
This entry pairs a crystal structure of Mn3H9Rh4 with its calculated powder diffractogram. Radiation: Cu Ka. Structure: a crystal structure in Alexandria, relaxed with PBE.
Lines closer than 0.1° are merged.

Crystal structure
```
Mn3H9Rh4
1.0
2.360 1.362 6.953
-2.360 1.362 6.953
0.000 -2.725 6.953
Mn H Rh
3 9 4
direct
0.000 0.000 0.000
0.135 0.135 0.135
0.569 0.569 0.569
0.145 0.702 0.560
0.162 0.560 0.976
0.433 0.988 0.575
0.560 0.145 0.702
0.560 0.976 0.162
0.575 0.433 0.988
0.702 0.560 0.145
0.976 0.162 0.560
0.988 0.575 0.433
0.280 0.280 0.280
0.420 0.420 0.420
0.714 0.714 0.714
0.855 0.855 0.855
```

Most intense lines, 2θ from 10° to 90°, low angle first:
d/Å  2θ (°)  Rel. int.
3.805  23.38  14
2.920  30.62  5
2.408  37.35  100
2.360  38.14  95
1.685  54.44  33
1.400  66.83  17
1.371  68.40  32
1.362  68.92  16
1.204  79.63  10
1.180  81.60  10

---

Entry 2:
This entry pairs a crystal structure of MnH3Rh2 with its calculated powder diffractogram. Radiation: Cu Ka. Structure: a crystal structure in Alexandria, relaxed with PBE.
Lines closer than 0.1° are merged.

Crystal structure
```
MnH3Rh2
1.0
2.544 -4.396 0.000
2.544 4.396 0.000
-1.856 0.000 4.750
Mn H Rh
2 6 4
direct
0.095 0.905 0.500
0.905 0.095 0.000
0.133 0.610 0.635
0.302 0.481 0.128
0.481 0.302 0.628
0.610 0.133 0.135
0.788 0.941 0.609
0.941 0.788 0.109
0.238 0.757 0.006
0.414 0.574 0.502
0.574 0.414 0.002
0.757 0.238 0.506
```

Most intense lines, 2θ from 10° to 90°, low angle first:
d/Å  2θ (°)  Rel. int.
2.405  37.40  100
2.373  37.92  99
2.103  43.00  33
2.052  44.14  60
1.470  63.26  21
1.468  63.38  21
1.265  75.10  12
1.247  76.39  21
1.234  77.33  11
1.233  77.43  11

---

Entry 3:
This entry pairs a crystal structure of ScMnH4 with its calculated powder diffractogram. Radiation: Cu Ka. Structure: a crystal structure in Alexandria, relaxed with PBE.
Lines closer than 0.1° are merged.

Crystal structure
```
ScMnH4
1.0
4.019 0.000 0.000
-2.008 4.324 0.000
-0.001 -1.452 4.918
Sc Mn H
2 2 8
direct
0.228 0.499 0.250
0.772 0.501 0.750
0.000 0.000 0.500
0.500 0.000 0.000
0.117 0.907 0.168
0.247 0.379 0.586
0.290 0.907 0.668
0.367 0.620 0.914
0.633 0.380 0.086
0.710 0.093 0.332
0.753 0.621 0.414
0.883 0.093 0.832
```

Most intense lines, 2θ from 10° to 90°, low angle first:
d/Å  2θ (°)  Rel. int.
2.756  32.49  100
2.440  36.84  35
2.280  39.53  56
2.074  43.65  22
2.009  45.12  19
1.893  48.06  15
1.568  58.91  17
1.551  59.60  15
1.443  64.58  12
1.366  68.73  10

---

Entry 4:
This entry pairs a crystal structure of Mn2HSe with its calculated powder diffractogram. Radiation: Cu Ka. Structure: a crystal structure in Alexandria, relaxed with PBE.
Lines closer than 0.1° are merged.

Crystal structure
```
Mn2HSe
1.0
3.193 0.000 0.000
0.000 3.193 0.000
0.000 0.000 5.473
Mn H Se
2 1 1
direct
0.000 0.500 0.162
0.500 0.000 0.838
0.000 0.000 0.000
0.500 0.500 0.500
```

Most intense lines, 2θ from 10° to 90°, low angle first:
d/Å  2θ (°)  Rel. int.
3.193  27.94  29
2.758  32.46  100
2.087  43.35  52
2.078  43.55  44
1.824  49.99  16
1.742  52.54  26
1.597  57.74  21
1.382  67.82  21
1.266  75.02  16
1.202  79.82  15

---

Entry 5:
This entry pairs a crystal structure of Mn2H2Se with its calculated powder diffractogram. Radiation: Cu Ka. Structure: a crystal structure in Alexandria, relaxed with PBE.
Lines closer than 0.1° are merged.

Crystal structure
```
Mn2H2Se
1.0
3.081 0.000 0.000
0.000 3.081 0.000
0.000 0.000 10.432
Mn H Se
4 4 2
direct
0.000 0.000 0.148
0.000 0.000 0.852
0.500 0.500 0.352
0.500 0.500 0.648
0.000 0.500 0.250
0.000 0.500 0.750
0.500 0.000 0.250
0.500 0.000 0.750
0.000 0.000 0.500
0.500 0.500 0.000
```

Most intense lines, 2θ from 10° to 90°, low angle first:
d/Å  2θ (°)  Rel. int.
5.216  17.00  12
2.306  39.06  100
2.179  41.44  44
2.010  45.10  5
1.739  52.64  8
1.728  53.01  9
1.541  60.05  14
1.359  69.12  14
1.281  73.99  27
1.153  83.91  8

---

Entry 6:
This entry pairs a crystal structure of SrMnH3 with its calculated powder diffractogram. Radiation: Cu Ka. Structure: a crystal structure in Alexandria, relaxed with PBE.
Lines closer than 0.1° are merged.

Crystal structure
```
SrMnH3
1.0
3.764 0.000 0.000
0.000 3.764 0.000
0.000 0.000 3.764
Sr Mn H
1 1 3
direct
0.000 0.000 0.000
0.500 0.500 0.500
0.000 0.500 0.500
0.500 0.000 0.500
0.500 0.500 0.000
```

Most intense lines, 2θ from 10° to 90°, low angle first:
d/Å  2θ (°)  Rel. int.
3.764  23.64  5
2.662  33.67  100
2.173  41.56  2
1.882  48.36  18
1.683  54.51  3
1.537  60.22  35
1.331  70.80  11
1.255  75.82  2
1.190  80.73  15
1.135  85.57  1

---

Entry 7:
This entry pairs a crystal structure of Ta2MnH6 with its calculated powder diffractogram. Radiation: Cu Ka. Structure: a crystal structure in Alexandria, relaxed with PBE.
Lines closer than 0.1° are merged.

Crystal structure
```
Ta2MnH6
1.0
-1.547 2.233 4.686
1.547 -2.233 4.686
1.547 2.233 -4.686
Ta Mn H
2 1 6
direct
0.164 0.164 0.000
0.836 0.836 0.000
0.500 0.500 0.000
0.103 0.339 0.763
0.270 0.000 0.270
0.424 0.661 0.763
0.576 0.339 0.237
0.730 0.000 0.730
0.897 0.661 0.237
```

Most intense lines, 2θ from 10° to 90°, low angle first:
d/Å  2θ (°)  Rel. int.
4.686  18.94  16
4.032  22.05  30
2.937  30.43  14
2.560  35.05  100
2.543  35.30  99
2.234  40.38  43
2.198  41.07  62
1.566  58.96  45
1.331  70.80  25
1.324  71.24  25

---

Entry 8:
This entry pairs a crystal structure of Ta5Mn2H12 with its calculated powder diffractogram. Radiation: Cu Ka. Structure: a crystal structure in Alexandria, relaxed with PBE.
Lines closer than 0.1° are merged.

Crystal structure
```
Ta5Mn2H12
1.0
4.601 -2.568 0.000
4.601 2.568 0.000
-0.935 0.000 6.184
Ta Mn H
5 2 12
direct
0.000 0.000 0.000
0.271 0.271 0.675
0.357 0.357 0.119
0.643 0.643 0.881
0.729 0.729 0.325
0.232 0.768 0.500
0.768 0.232 0.500
0.046 0.606 0.892
0.063 0.063 0.341
0.141 0.510 0.400
0.394 0.954 0.108
0.476 0.476 0.657
0.490 0.859 0.600
0.510 0.141 0.400
0.524 0.524 0.343
0.606 0.046 0.892
0.859 0.490 0.600
0.937 0.937 0.659
0.954 0.394 0.108
```

Most intense lines, 2θ from 10° to 90°, low angle first:
d/Å  2θ (°)  Rel. int.
2.636  34.02  100
2.611  34.34  71
2.568  34.94  48
2.525  35.55  82
2.396  37.53  53
2.055  44.06  24
1.927  47.17  20
1.752  52.21  25
1.596  57.77  25
1.391  67.29  21

---

Entry 9:
This entry pairs a crystal structure of TbMn2H7 with its calculated powder diffractogram. Radiation: Cu Ka. Structure: a crystal structure in Alexandria, relaxed with PBE.
Lines closer than 0.1° are merged.

Crystal structure
```
TbMn2H7
1.0
2.602 -4.092 0.000
2.602 4.092 0.000
0.000 0.000 3.532
Tb Mn H
1 2 7
direct
0.000 0.000 0.000
0.301 0.699 0.500
0.699 0.301 0.500
0.053 0.323 0.500
0.297 0.703 0.000
0.323 0.053 0.500
0.500 0.500 0.500
0.677 0.947 0.500
0.703 0.297 0.000
0.947 0.677 0.500
```

Most intense lines, 2θ from 10° to 90°, low angle first:
d/Å  2θ (°)  Rel. int.
4.391  20.22  63
2.752  32.53  100
2.674  33.52  75
2.602  34.47  42
2.416  37.22  58
1.865  48.84  51
1.529  60.53  17
1.464  63.57  18
1.428  65.35  25
1.426  65.46  21

---

Entry 10:
This entry pairs a crystal structure of TiMnH2 with its calculated powder diffractogram. Radiation: Cu Ka. Structure: a crystal structure in Alexandria, relaxed with PBE.
Lines closer than 0.1° are merged.

Crystal structure
```
TiMnH2
1.0
3.920 0.000 0.000
0.000 3.920 0.000
0.000 0.000 8.842
Ti Mn H
4 4 8
direct
0.000 0.000 0.000
0.000 0.500 0.250
0.500 0.000 0.750
0.500 0.500 0.500
0.000 0.000 0.500
0.000 0.500 0.750
0.500 0.000 0.250
0.500 0.500 0.000
0.210 0.250 0.625
0.250 0.710 0.875
0.250 0.790 0.375
0.290 0.250 0.125
0.710 0.750 0.125
0.750 0.210 0.375
0.750 0.290 0.875
0.790 0.750 0.625
```

Most intense lines, 2θ from 10° to 90°, low angle first:
d/Å  2θ (°)  Rel. int.
3.584  24.85  1
2.348  38.33  100
2.211  40.82  20
1.960  46.32  27
1.467  63.43  20
1.386  67.60  8
1.301  72.66  13
1.194  80.47  19
1.174  82.07  9
1.105  88.45  2

---

Entry 11:
This entry pairs a crystal structure of TiMn2H with its calculated powder diffractogram. Radiation: Cu Ka. Structure: a crystal structure in Alexandria, relaxed with PBE.
Lines closer than 0.1° are merged.

Crystal structure
```
TiMn2H
1.0
0.000 3.511 3.511
3.511 0.000 3.511
3.511 3.511 0.000
Ti Mn H
2 4 2
direct
0.125 0.125 0.125
0.875 0.875 0.875
0.000 0.500 0.500
0.500 0.000 0.500
0.500 0.500 0.000
0.500 0.500 0.500
0.375 0.375 0.375
0.625 0.625 0.625
```

Most intense lines, 2θ from 10° to 90°, low angle first:
d/Å  2θ (°)  Rel. int.
4.054  21.92  15
2.483  36.18  25
2.117  42.71  100
2.027  44.71  46
1.755  52.10  7
1.611  57.18  3
1.433  65.08  7
1.351  69.57  27
1.241  76.79  24
1.110  87.96  3

---

Repeat the ninth record exactly.
This entry pairs a crystal structure of TbMn2H7 with its calculated powder diffractogram. Radiation: Cu Ka. Structure: a crystal structure in Alexandria, relaxed with PBE.
Lines closer than 0.1° are merged.

Crystal structure
```
TbMn2H7
1.0
2.602 -4.092 0.000
2.602 4.092 0.000
0.000 0.000 3.532
Tb Mn H
1 2 7
direct
0.000 0.000 0.000
0.301 0.699 0.500
0.699 0.301 0.500
0.053 0.323 0.500
0.297 0.703 0.000
0.323 0.053 0.500
0.500 0.500 0.500
0.677 0.947 0.500
0.703 0.297 0.000
0.947 0.677 0.500
```

Most intense lines, 2θ from 10° to 90°, low angle first:
d/Å  2θ (°)  Rel. int.
4.391  20.22  63
2.752  32.53  100
2.674  33.52  75
2.602  34.47  42
2.416  37.22  58
1.865  48.84  51
1.529  60.53  17
1.464  63.57  18
1.428  65.35  25
1.426  65.46  21